Diffraction record for V9O13. The powder diffractogram is calculated, not measured: it uses a structure optimized by DFT (PBE+U) and Cu Ka.
Intensities are scaled so that the largest is 1000.

Principal peaks in the range 5 to 70 degrees two-theta, in order of rising 2θ:
2θ/deg	I/Imax
10.18	1000
17.38	226
32.94	460
33.52	382
41.51	232
43.69	257

Crystal structure
Unit cell a=5.374 b=5.374 c=17.621 alpha=99.15 beta=99.15 gamma=31.73
Sites, in units of the cell vectors:
V  0.000  0.000  0.000
V  0.144  0.144  0.543
V  0.237  0.237  0.917
V  0.432  0.432  0.624
V  0.461  0.461  0.821
V  0.539  0.539  0.179
V  0.568  0.568  0.376
V  0.763  0.763  0.083
V  0.856  0.856  0.457
O  0.052  0.052  0.637
O  0.083  0.083  0.828
O  0.128  0.128  0.114
O  0.207  0.207  0.430
O  0.369  0.369  0.027
O  0.384  0.384  0.729
O  0.500  0.500  0.500
O  0.616  0.616  0.271
O  0.631  0.631  0.973
O  0.793  0.793  0.570
O  0.872  0.872  0.886
O  0.917  0.917  0.172
O  0.948  0.948  0.363